Structure and theoretical XRD peak list of Li7Mn2Co3O12 (a structure optimized by DFT (GGA+U); Cu Kα).
Lines closer than 0.1° are merged.

Atomic structure:
a b c (Å): 5.763 5.917 7.747
angles (deg): 68.53 79.08 60.91
Space group P1 (No. 1)
Asymmetric unit:
Li1 0.000 0.000 0.000 (multiplicity 1)
Li2 0.002 0.502 0.990 (multiplicity 1)
Li3 0.161 0.838 0.685 (multiplicity 1)
Li4 0.336 0.156 0.334 (multiplicity 1)
Li5 0.499 0.503 0.989 (multiplicity 1)
Li6 0.663 0.833 0.676 (multiplicity 1)
Li7 0.840 0.155 0.330 (multiplicity 1)
Mn1 0.336 0.661 0.328 (multiplicity 1)
Mn2 0.840 0.654 0.330 (multiplicity 1)
Co1 0.164 0.326 0.680 (multiplicity 1)
Co2 0.502 0.995 0.001 (multiplicity 1)
Co3 0.666 0.322 0.680 (multiplicity 1)
O1 0.007 0.743 0.475 (multiplicity 1)
O2 0.166 0.575 0.186 (multiplicity 1)
O3 0.206 0.031 0.171 (multiplicity 1)
O4 0.327 0.431 0.826 (multiplicity 1)
O5 0.338 0.943 0.837 (multiplicity 1)
O6 0.476 0.285 0.502 (multiplicity 1)
O7 0.515 0.727 0.484 (multiplicity 1)
O8 0.670 0.564 0.187 (multiplicity 1)
O9 0.677 0.029 0.171 (multiplicity 1)
O10 0.803 0.947 0.834 (multiplicity 1)
O11 0.839 0.419 0.818 (multiplicity 1)
O12 0.988 0.272 0.496 (multiplicity 1)

Largest 12 diffraction maxima, in order of falling intensity, 2θ from 10° to 90°:
2θ/deg  I_rel  (hkl)
18.4  100.0  0 1 1
42.6  29.7  0 2 -1
44.0  27.2  2 2 3
44.2  26.8  2 0 -2
35.3  15.6  0 1 -2
62.8  14.7  2 4 2
36.3  12.3  2 1 2
36.4  12.0  2 1 -1
47.6  8.9  2 3 1
18.7  7.8  1 1 0
63.0  7.6  2 0 4
63.3  7.4  2 2 -3


Structure and theoretical XRD peak list of Li7Mn4CoO12 (a structure optimized by DFT (GGA+U); Cu Kα).
Lines closer than 0.1° are merged.

Atomic structure:
a b c (Å): 2.990 5.080 14.740
angles (deg): 81.93 86.45 86.66
Space group P1 (No. 1)
Asymmetric unit:
Li1 0.000 0.000 0.000 (multiplicity 1)
Li2 0.074 0.408 0.840 (multiplicity 1)
Li3 0.147 0.817 0.682 (multiplicity 1)
Li4 0.327 0.662 0.340 (multiplicity 1)
Li5 0.487 0.481 0.995 (multiplicity 1)
Li6 0.659 0.332 0.685 (multiplicity 1)
Li7 0.824 0.156 0.339 (multiplicity 1)
Mn1 0.237 0.240 0.507 (multiplicity 1)
Mn2 0.574 0.908 0.841 (multiplicity 1)
Mn3 0.736 0.740 0.508 (multiplicity 1)
Mn4 0.911 0.576 0.173 (multiplicity 1)
Co1 0.410 0.076 0.173 (multiplicity 1)
O1 0.065 0.726 0.914 (multiplicity 1)
O2 0.082 0.089 0.768 (multiplicity 1)
O3 0.172 0.525 0.584 (multiplicity 1)
O4 0.310 0.957 0.428 (multiplicity 1)
O5 0.352 0.361 0.249 (multiplicity 1)
O6 0.460 0.785 0.100 (multiplicity 1)
O7 0.527 0.178 0.920 (multiplicity 1)
O8 0.620 0.638 0.762 (multiplicity 1)
O9 0.676 0.030 0.583 (multiplicity 1)
O10 0.808 0.458 0.428 (multiplicity 1)
O11 0.837 0.865 0.250 (multiplicity 1)
O12 0.976 0.283 0.099 (multiplicity 1)

Largest 12 diffraction maxima, in order of falling intensity, 2θ from 10° to 90°:
2θ/deg  I_rel  (hkl)
18.3  100.0  0 0 3
44.3  55.9  1 -1 4
41.0  36.1  1 1 -3
34.2  18.3  1 1 0
62.3  17.0  2 0 1
36.2  12.5  0 2 2
36.5  11.5  1 -1 1
61.5  8.7  1 3 2
61.6  8.5  0 2 -7
12.1  7.9  0 0 2
63.9  7.5  1 1 9
65.0  7.5  -1 3 1


Structure and theoretical XRD peak list of Li7Mn2Co3O12 (a structure optimized by DFT (GGA+U); Cu Kα).
Lines closer than 0.1° are merged.

Atomic structure:
a b c (Å): 15.139 2.958 9.894
angles (deg): 90.00 101.73 90.00
Space group C2/m (No. 12)
Asymmetric unit:
Li1 0.000 0.000 0.000 (multiplicity 2)
Li2 0.076 0.500 0.230 (multiplicity 4)
Li3 0.085 0.000 0.763 (multiplicity 4)
Li4 0.249 0.000 0.232 (multiplicity 4)
Mn1 0.164 0.000 0.499 (multiplicity 4)
Co1 0.000 0.500 0.500 (multiplicity 2)
Co2 0.160 0.500 0.001 (multiplicity 4)
O1 0.048 0.000 0.384 (multiplicity 4)
O2 0.055 0.500 0.880 (multiplicity 4)
O3 0.128 0.000 0.119 (multiplicity 4)
O4 0.135 0.500 0.613 (multiplicity 4)
O5 0.208 0.500 0.396 (multiplicity 4)
O6 0.216 0.000 0.889 (multiplicity 4)

Largest 12 diffraction maxima, in order of falling intensity, 2θ from 10° to 90°:
2θ/deg  I_rel  (hkl)
18.3  100.0  0 0 2
43.0  59.9  3 1 -3
35.6  28.7  3 1 -1
44.4  25.9  6 0 2
63.4  14.7  3 1 5
63.7  14.4  9 1 -1
36.4  12.0  6 0 0
56.7  9.9  3 1 -5
47.8  8.4  3 1 3
62.8  8.3  0 2 0
61.9  7.8  6 0 -6
11.9  7.6  2 0 0


Structure and theoretical XRD peak list of Li4MnCo2O7 (a structure optimized by DFT (GGA+U); Cu Kα).
Lines closer than 0.1° are merged.

Atomic structure:
a b c (Å): 12.642 2.989 14.463
angles (deg): 90.00 109.39 90.00
Space group C2/m (No. 12)
Asymmetric unit:
Li1 0.000 0.000 0.000 (multiplicity 2)
Li2 0.000 0.000 0.500 (multiplicity 2)
Li3 0.065 0.500 0.347 (multiplicity 4)
Li4 0.137 0.000 0.201 (multiplicity 4)
Li5 0.210 0.500 0.068 (multiplicity 4)
Mn1 0.212 0.500 0.573 (multiplicity 4)
Co1 0.069 0.500 0.870 (multiplicity 4)
Co2 0.139 0.000 0.723 (multiplicity 4)
O1 0.005 0.000 0.747 (multiplicity 4)
O2 0.065 0.500 0.112 (multiplicity 4)
O3 0.082 0.500 0.607 (multiplicity 4)
O4 0.140 0.000 0.956 (multiplicity 4)
O5 0.156 0.000 0.473 (multiplicity 4)
O6 0.207 0.500 0.813 (multiplicity 4)
O7 0.228 0.500 0.336 (multiplicity 4)

Largest 12 diffraction maxima, in order of falling intensity, 2θ from 10° to 90°:
2θ/deg  I_rel  (hkl)
18.1  100.0  2 0 1
42.5  59.0  1 1 4
35.3  27.4  1 1 -3
44.5  24.2  6 0 -4
62.8  15.4  7 1 0
63.7  12.4  5 1 -8
36.5  10.6  4 0 -5
56.0  9.4  3 1 5
37.3  9.3  3 1 -2
62.1  8.7  0 2 0
47.5  8.5  5 1 -1
61.3  7.1  2 0 8


Structure and theoretical XRD peak list of Li6Mn3CoO10 (a structure optimized by DFT (GGA+U); Cu Kα).
Lines closer than 0.1° are merged.

Atomic structure:
a b c (Å): 2.992 7.812 8.136
angles (deg): 104.54 90.96 96.68
Space group P1 (No. 1)
Asymmetric unit:
Li1 0.000 0.000 0.000 (multiplicity 1)
Li2 0.009 0.008 0.511 (multiplicity 1)
Li3 0.186 0.388 0.602 (multiplicity 1)
Li4 0.389 0.800 0.213 (multiplicity 1)
Li5 0.589 0.192 0.789 (multiplicity 1)
Li6 0.812 0.608 0.413 (multiplicity 1)
Mn1 0.185 0.396 0.102 (multiplicity 1)
Mn2 0.588 0.191 0.311 (multiplicity 1)
Mn3 0.798 0.603 0.900 (multiplicity 1)
Co1 0.407 0.808 0.694 (multiplicity 1)
O1 0.017 0.982 0.749 (multiplicity 1)
O2 0.029 0.023 0.261 (multiplicity 1)
O3 0.156 0.372 0.339 (multiplicity 1)
O4 0.167 0.406 0.864 (multiplicity 1)
O5 0.386 0.792 0.476 (multiplicity 1)
O6 0.422 0.794 0.933 (multiplicity 1)
O7 0.564 0.207 0.068 (multiplicity 1)
O8 0.605 0.202 0.537 (multiplicity 1)
O9 0.776 0.612 0.665 (multiplicity 1)
O10 0.824 0.597 0.145 (multiplicity 1)

Largest 12 diffraction maxima, in order of falling intensity, 2θ from 10° to 90°:
2θ/deg  I_rel  (hkl)
18.3  100.0  0 1 1
41.1  36.5  1 2 0
44.4  28.4  1 -3 0
44.6  27.2  0 1 -4
36.5  21.7  1 -2 1
34.2  19.0  1 1 -1
14.1  11.7  0 1 -1
11.2  9.9  0 0 1
62.2  8.8  2 -1 0
11.8  8.5  0 1 0
61.8  8.4  0 5 0
62.4  8.4  1 1 4


Structure and theoretical XRD peak list of Li7Mn4CoO12 (a structure optimized by DFT (GGA+U); Cu Kα).
Lines closer than 0.1° are merged.

Atomic structure:
a b c (Å): 5.903 8.220 10.115
angles (deg): 113.50 103.96 90.76
Space group P-1 (No. 2)
Asymmetric unit:
Li1 0.000 0.000 0.000 (multiplicity 1)
Li2 0.000 0.000 0.500 (multiplicity 1)
Li3 0.000 0.500 0.000 (multiplicity 1)
Li4 0.151 0.167 0.325 (multiplicity 2)
Li5 0.159 0.691 0.832 (multiplicity 2)
Li6 0.322 0.307 0.162 (multiplicity 2)
Li7 0.342 0.835 0.674 (multiplicity 2)
Li8 0.500 0.000 0.000 (multiplicity 1)
Li9 0.500 0.000 0.500 (multiplicity 1)
Li10 0.500 0.500 0.000 (multiplicity 1)
Mn1 0.159 0.658 0.330 (multiplicity 2)
Mn2 0.177 0.159 0.838 (multiplicity 2)
Mn3 0.324 0.841 0.163 (multiplicity 2)
Mn4 0.337 0.340 0.669 (multiplicity 2)
Co1 0.000 0.500 0.500 (multiplicity 1)
Co2 0.500 0.500 0.500 (multiplicity 1)
O1 0.008 0.734 0.490 (multiplicity 2)
O2 0.012 0.760 0.021 (multiplicity 2)
O3 0.143 0.898 0.316 (multiplicity 2)
O4 0.157 0.425 0.338 (multiplicity 2)
O5 0.167 0.934 0.831 (multiplicity 2)
O6 0.189 0.402 0.829 (multiplicity 2)
O7 0.312 0.572 0.644 (multiplicity 2)
O8 0.319 0.597 0.173 (multiplicity 2)
O9 0.332 0.067 0.171 (multiplicity 2)
O10 0.359 0.098 0.685 (multiplicity 2)
O11 0.486 0.269 0.509 (multiplicity 2)
O12 0.487 0.238 0.980 (multiplicity 2)

Largest 12 diffraction maxima, in order of falling intensity, 2θ from 10° to 90°:
2θ/deg  I_rel  (hkl)
18.4  100.0  0 1 1
42.0  30.0  2 0 2
44.3  25.6  2 0 -4
44.1  25.5  0 4 -2
62.3  14.5  0 0 6
34.9  13.7  2 -1 1
11.8  12.8  0 1 0
36.2  12.1  0 3 -3
36.5  11.0  2 1 -3
64.8  8.7  2 4 -6
63.1  7.3  4 0 -2
62.7  7.2  2 4 0


Structure and theoretical XRD peak list of Li7Mn2Co3O12 (a structure optimized by DFT (GGA+U); Cu Kα).
Lines closer than 0.1° are merged.

Atomic structure:
a b c (Å): 5.229 2.856 29.572
angles (deg): 90.00 91.61 90.00
Space group C2/m (No. 12)
Asymmetric unit:
Li1 0.000 0.000 0.000 (multiplicity 2)
Li2 0.002 0.000 0.747 (multiplicity 4)
Li3 0.159 0.500 0.922 (multiplicity 4)
Li4 0.167 0.500 0.417 (multiplicity 4)
Mn1 0.169 0.500 0.167 (multiplicity 4)
Co1 0.000 0.000 0.500 (multiplicity 2)
Co2 0.167 0.500 0.666 (multiplicity 4)
O1 0.002 0.000 0.372 (multiplicity 4)
O2 0.016 0.000 0.131 (multiplicity 4)
O3 0.146 0.500 0.537 (multiplicity 4)
O4 0.166 0.500 0.295 (multiplicity 4)
O5 0.167 0.500 0.043 (multiplicity 4)
O6 0.183 0.500 0.794 (multiplicity 4)

Largest 12 diffraction maxima, in order of falling intensity, 2θ from 10° to 90°:
2θ/deg  I_rel  (hkl)
18.0  100.0  0 0 6
43.9  56.2  1 1 8
41.8  33.7  2 0 -8
36.4  27.8  1 1 2
62.4  24.7  3 1 0
34.7  17.4  2 0 -2
62.0  16.7  1 1 -16
47.2  10.3  1 1 -10
80.6  10.3  2 2 -8
57.4  9.4  1 1 14
12.0  7.6  0 0 4
65.4  7.5  0 2 0


Structure and theoretical XRD peak list of Li7Mn2Co3O12 (a structure optimized by DFT (GGA+U); Cu Kα).
Lines closer than 0.1° are merged.

Atomic structure:
a b c (Å): 5.078 5.855 7.644
angles (deg): 79.76 77.70 74.10
Space group P1 (No. 1)
Asymmetric unit:
Li1 0.000 0.000 0.000 (multiplicity 1)
Li2 0.001 0.169 0.326 (multiplicity 1)
Li3 0.002 0.505 0.998 (multiplicity 1)
Li4 0.004 0.682 0.323 (multiplicity 1)
Li5 0.498 0.842 0.160 (multiplicity 1)
Li6 0.994 0.847 0.659 (multiplicity 1)
Li7 0.999 0.339 0.658 (multiplicity 1)
Mn1 0.501 0.165 0.829 (multiplicity 1)
Mn2 0.501 0.337 0.158 (multiplicity 1)
Co1 0.492 0.004 0.486 (multiplicity 1)
Co2 0.501 0.673 0.828 (multiplicity 1)
Co3 0.507 0.514 0.485 (multiplicity 1)
O1 0.260 0.843 0.423 (multiplicity 1)
O2 0.261 0.023 0.748 (multiplicity 1)
O3 0.266 0.343 0.394 (multiplicity 1)
O4 0.278 0.182 0.068 (multiplicity 1)
O5 0.283 0.650 0.067 (multiplicity 1)
O6 0.291 0.491 0.744 (multiplicity 1)
O7 0.719 0.176 0.587 (multiplicity 1)
O8 0.720 0.852 0.899 (multiplicity 1)
O9 0.725 0.498 0.251 (multiplicity 1)
O10 0.725 0.681 0.589 (multiplicity 1)
O11 0.731 0.031 0.245 (multiplicity 1)
O12 0.733 0.320 0.921 (multiplicity 1)

Largest 12 diffraction maxima, in order of falling intensity, 2θ from 10° to 90°:
2θ/deg  I_rel  (hkl)
18.4  100.0  1 0 0
44.1  55.5  2 2 2
43.3  30.1  1 -2 1
36.4  24.9  1 2 2
35.8  15.4  0 2 -1
63.6  15.0  1 4 1
11.9  8.4  0 0 1
48.0  8.1  2 0 3
63.2  7.6  -2 2 2
63.7  7.6  0 2 -4
63.5  7.5  3 0 3
64.6  7.4  1 2 5


Structure and theoretical XRD peak list of Li5MnCo2O8 (a structure optimized by DFT (GGA+U); Cu Kα).
Lines closer than 0.1° are merged.

Atomic structure:
a b c (Å): 19.268 2.901 4.962
angles (deg): 90.00 93.34 90.00
Space group Cm (No. 8)
Asymmetric unit:
Li1 0.000 0.000 0.000 (multiplicity 2)
Li2 0.003 0.500 0.490 (multiplicity 2)
Li3 0.272 0.000 0.748 (multiplicity 2)
Li4 0.276 0.500 0.234 (multiplicity 2)
Li5 0.388 0.000 0.119 (multiplicity 2)
Mn1 0.138 0.000 0.367 (multiplicity 2)
Co1 0.138 0.500 0.868 (multiplicity 2)
Co2 0.388 0.500 0.619 (multiplicity 2)
O1 0.082 0.500 0.180 (multiplicity 2)
O2 0.086 0.000 0.691 (multiplicity 2)
O3 0.191 0.000 0.048 (multiplicity 2)
O4 0.193 0.500 0.551 (multiplicity 2)
O5 0.330 0.500 0.903 (multiplicity 2)
O6 0.333 0.000 0.450 (multiplicity 2)
O7 0.442 0.000 0.788 (multiplicity 2)
O8 0.446 0.500 0.336 (multiplicity 2)

Largest 12 diffraction maxima, in order of falling intensity, 2θ from 10° to 90°:
2θ/deg  I_rel  (hkl)
18.5  100.0  4 0 0
43.7  57.8  5 1 1
44.9  26.0  6 0 -2
36.3  25.4  1 1 1
64.9  14.5  1 1 -3
64.1  13.9  11 1 -1
17.9  12.7  0 0 1
57.5  11.7  9 1 1
36.9  10.7  2 0 -2
20.6  10.1  2 0 1
19.7  8.5  2 0 -1
64.2  7.9  0 2 0